[1]
Sr4Te8Pd3: simulated powder diffraction line list (λ = 1.5418 Å (Cu Kα)), based on a PBE-relaxed structure.
Neutral-atom scattering factors, no anomalous dispersion.

Top 10 peaks for 15 to 90 degrees two-theta, low angle first:
| (hkl) | 2theta | I (rel.) |
| --- | --- | --- |
| 1 0 4 | 25.98 | 25 |
| 1 1 2 | 28.51 | 23 |
| 1 1 4 | 32.43 | 100 |
| 1 0 6 | 32.74 | 24 |
| 2 0 0 | 38.69 | 55 |
| 1 1 8 | 45.14 | 23 |
| 1 0 10 | 48.98 | 12 |
| 2 1 6 | 51.56 | 13 |
| 2 2 0 | 55.86 | 19 |
| 3 1 4 | 66.09 | 25 |

Unit cell a=4.6549 b=4.6549 c=20.2855 alpha=90.00 beta=90.00 gamma=90.00
Space group P-4m2 (No. 115)
One atom of each set of equivalent atoms:
1 Sr 0.0000 0.5000 0.1168 [2 per cell]
2 Sr 0.0000 0.5000 0.6261 [2 per cell]
3 Te 0.0000 0.0000 0.2471 [2 per cell]
4 Te 0.0000 0.5000 0.4287 [2 per cell]
5 Te 0.0000 0.5000 0.9344 [2 per cell]
6 Te 0.5000 0.5000 0.2476 [2 per cell]
7 Pd 0.0000 0.0000 0.0000 [1 per cell]
8 Pd 0.0000 0.0000 0.5000 [1 per cell]
9 Pd 0.5000 0.5000 0.5000 [1 per cell]

=====

[2]
SrTlPd2: simulated powder diffraction line list (λ = 1.5418 Å (Cu Kα)), based on a PBE-relaxed structure.
Neutral-atom scattering factors, no anomalous dispersion.

Top 10 peaks for 15 to 90 degrees two-theta, low angle first:
| (hkl) | 2theta | I (rel.) |
| --- | --- | --- |
| 0 0 3 | 17.56 | 71 |
| 1 0 4 | 32.11 | 81 |
| 0 0 6 | 35.56 | 18 |
| 1 1 0 | 37.83 | 100 |
| 1 1 3 | 42.00 | 47 |
| 1 0 7 | 47.46 | 18 |
| 0 2 4 | 50.44 | 23 |
| 1 1 6 | 52.89 | 35 |
| 2 1 4 | 64.75 | 22 |
| 1 0 10 | 65.67 | 20 |

Unit cell a=4.7558 b=4.7558 c=15.1479 alpha=90.00 beta=90.00 gamma=120.00
Space group R-3m (No. 166, hexagonal axes)
One atom of each set of equivalent atoms:
1 Sr 0.0000 0.0000 0.0000 [3 per cell]
2 Tl 0.0000 0.0000 0.5000 [3 per cell]
3 Pd 0.0000 0.0000 0.2016 [6 per cell]